# 1
Calculated PXRD pattern
Compound: TiH12N3F7
Radiation: copper Kα
Structure: a cell relaxed with PBE

Crystal structure
```
TiH12N3F7
1.0
7.000 0.000 0.000
-2.774 6.584 0.000
-3.396 -1.841 6.020
Ti H N F
1 12 3 7
Direct
0.000 0.000 0.000
0.009 0.552 0.051
0.038 0.464 0.032
0.231 0.777 0.893
0.411 0.454 0.365
0.468 0.890 0.265
0.472 0.500 0.303
0.539 0.683 0.745
0.687 0.364 0.535
0.716 0.352 0.868
0.815 0.204 0.552
0.821 0.240 0.251
0.987 0.471 0.606
0.716 0.299 0.272
0.724 0.779 0.843
0.809 0.339 0.507
0.006 0.150 0.228
0.036 0.187 0.836
0.224 0.703 0.769
0.238 0.892 0.074
0.569 0.244 0.740
0.627 0.907 0.378
0.808 0.509 0.250
```

Peak list (10 most intense, 2θ from 5° to 70°, low angle first)
index  d (Å)  two_theta  I (rel.)
0 1 0  6.296  14.07  80
0 0 1  6.020  14.72  64
1 0 -1  5.920  14.97  48
1 0 0  5.437  16.30  100
0 1 -1  5.171  17.15  92
-1 1 1  4.896  18.12  67
1 1 -1  3.898  22.81  79
-2 1 1  3.474  25.64  87
1 1 0  3.399  26.22  52
1 0 1  3.256  27.39  62

=====

# 2
Calculated PXRD pattern
Compound: TiH8N2F6
Radiation: copper Kα
Structure: a cell relaxed with PBE

Crystal structure
```
TiH8N2F6
1.0
6.081 0.000 0.000
-3.040 5.266 0.000
0.000 0.000 4.805
Ti H N F
1 8 2 6
Direct
0.000 0.000 0.000
0.241 0.483 0.382
0.241 0.759 0.382
0.333 0.667 0.095
0.483 0.241 0.618
0.517 0.759 0.382
0.667 0.333 0.905
0.759 0.241 0.618
0.759 0.517 0.618
0.333 0.667 0.310
0.667 0.333 0.690
0.148 0.296 0.776
0.148 0.852 0.776
0.296 0.148 0.224
0.704 0.852 0.776
0.852 0.148 0.224
0.852 0.704 0.224
```

Peak list (10 most intense, 2θ from 5° to 70°, low angle first)
index  d (Å)  two_theta  I (rel.)
1 0 0  5.266  16.84  100
0 0 1  4.805  18.47  17
0 1 1  3.549  25.09  65
1 1 0  3.040  29.38  13
2 0 1  2.309  39.01  82
2 1 1  1.839  49.57  14
2 0 2  1.775  51.49  25
2 1 2  1.533  60.40  14
2 2 0  1.520  60.94  16
1 1 3  1.417  65.91  11

=====

# 3
Calculated PXRD pattern
Compound: TiH8N2F6
Radiation: copper Kα
Structure: a cell relaxed with PBE

Crystal structure
```
TiH8N2F6
1.0
5.953 0.000 0.000
-2.976 5.155 0.000
0.000 0.000 5.416
Ti H N F
1 8 2 6
Direct
0.000 0.000 0.000
0.143 0.571 0.261
0.333 0.667 0.011
0.429 0.571 0.261
0.429 0.857 0.261
0.571 0.143 0.739
0.571 0.429 0.739
0.667 0.333 0.989
0.857 0.429 0.739
0.333 0.667 0.201
0.667 0.333 0.799
0.151 0.303 0.800
0.151 0.849 0.800
0.303 0.151 0.200
0.697 0.849 0.800
0.849 0.151 0.200
0.849 0.697 0.200
```

Peak list (10 most intense, 2θ from 5° to 70°, low angle first)
index  d (Å)  two_theta  I (rel.)
0 0 1  5.416  16.37  100
1 0 0  5.155  17.20  99
0 1 1  3.734  23.83  68
1 1 1  2.608  34.38  20
2 0 1  2.327  38.69  91
2 0 2  1.867  48.78  44
2 1 1  1.833  49.73  13
2 1 2  1.582  58.34  14
2 2 0  1.488  62.40  18
0 2 3  1.479  62.85  18